This entry pairs a crystal structure of Be8VCu3 with its calculated powder diffraction line list. Radiation: a wavelength of 1.5418 Å. Structure: the GGA-PBE geometry in Alexandria.
Peak positions follow from Bragg's law for the DFT cell and can differ from measured ones.

Atomic structure:
```
data_Be8VCu3
_cell_length_a 4.2787
_cell_length_b 4.2787
_cell_length_c 7.0604
_cell_angle_alpha 90.00
_cell_angle_beta 90.00
_cell_angle_gamma 120.00
_symmetry_space_group_name_H-M 'P 3 m 1'
_symmetry_Int_Tables_number 156
_symmetry_space_group_name_Hall 'P 3 -2"'
loop_
_atom_site_label
_atom_site_type_symbol
_atom_site_fract_x
_atom_site_fract_y
_atom_site_fract_z
Be1 Be 0.0000 0.0000 0.0000
Be2 Be 0.0000 0.0000 0.4963
Be3 Be 0.1660 0.3319 0.7483
Be4 Be 0.3378 0.1689 0.2432
V1 V 0.6667 0.3333 0.5545
Cu1 Cu 0.3333 0.6667 0.0527
Cu2 Cu 0.3333 0.6667 0.4326
Cu3 Cu 0.6667 0.3333 0.9305
```

The 10 most intense peaks (2θ from 10° to 80°), sorted by position:
d (Å), intensity
3.705, 76.8
3.530, 47.9
3.281, 51.2
2.556, 37.4
2.139, 92.0
1.987, 100.0
1.830, 72.6
1.792, 20.5
1.456, 21.7
1.204, 34.0


This entry pairs a crystal structure of BeCuW2 with its calculated powder diffraction line list. Radiation: a wavelength of 1.5418 Å. Structure: the GGA-PBE geometry in Alexandria.
Peak positions follow from Bragg's law for the DFT cell and can differ from measured ones.

Atomic structure:
```
data_BeCuW2
_cell_length_a 2.6801
_cell_length_b 2.6801
_cell_length_c 7.3339
_cell_angle_alpha 90.00
_cell_angle_beta 90.00
_cell_angle_gamma 90.00
_symmetry_space_group_name_H-M 'P 4 m m'
_symmetry_Int_Tables_number 99
_symmetry_space_group_name_Hall 'P 4 -2'
loop_
_atom_site_label
_atom_site_type_symbol
_atom_site_fract_x
_atom_site_fract_y
_atom_site_fract_z
Be1 Be 0.0000 0.0000 0.0000
Cu1 Cu 0.5000 0.5000 0.1765
W1 W 0.0000 0.0000 0.4451
W2 W 0.5000 0.5000 0.7622
```

The 10 most intense peaks (2θ from 10° to 80°), sorted by position:
d (Å), intensity
7.334, 54.3
2.517, 75.8
2.445, 32.3
2.164, 100.0
1.895, 41.3
1.834, 14.3
1.498, 28.5
1.340, 13.2
1.318, 12.2
1.287, 19.6


This entry pairs a crystal structure of YBe4Cu8 with its calculated powder diffraction line list. Radiation: a wavelength of 1.5418 Å. Structure: the GGA-PBE geometry in Alexandria.
Peak positions follow from Bragg's law for the DFT cell and can differ from measured ones.

Atomic structure:
```
data_YBe4Cu8
_cell_length_a 8.2067
_cell_length_b 8.2067
_cell_length_c 4.5956
_cell_angle_alpha 90.00
_cell_angle_beta 90.00
_cell_angle_gamma 90.00
_symmetry_space_group_name_H-M 'I 4/m m m'
_symmetry_Int_Tables_number 139
_symmetry_space_group_name_Hall '-I 4 2'
loop_
_atom_site_label
_atom_site_type_symbol
_atom_site_fract_x
_atom_site_fract_y
_atom_site_fract_z
Y1 Y 0.0000 0.0000 0.0000
Be1 Be 0.2500 0.2500 0.2500
Cu1 Cu 0.0000 0.2240 0.5000
Cu2 Cu 0.0000 0.3499 0.0000
```

The 10 most intense peaks (2θ from 10° to 80°), sorted by position:
d (Å), intensity
4.103, 33.1
2.902, 27.0
2.351, 45.4
2.298, 49.4
2.052, 27.3
2.040, 100.0
2.005, 15.7
1.826, 27.0
1.801, 18.4
1.271, 19.2


This entry pairs a crystal structure of YBeCu4 with its calculated powder diffraction line list. Radiation: a wavelength of 1.5418 Å. Structure: the GGA-PBE geometry in Alexandria.
Peak positions follow from Bragg's law for the DFT cell and can differ from measured ones.

Atomic structure:
```
data_YBeCu4
_cell_length_a 5.0751
_cell_length_b 5.0751
_cell_length_c 3.8817
_cell_angle_alpha 90.00
_cell_angle_beta 90.00
_cell_angle_gamma 120.00
_symmetry_space_group_name_H-M 'P -6 m 2'
_symmetry_Int_Tables_number 187
_symmetry_space_group_name_Hall 'P -6 2'
loop_
_atom_site_label
_atom_site_type_symbol
_atom_site_fract_x
_atom_site_fract_y
_atom_site_fract_z
Y1 Y 0.0000 0.0000 0.0000
Be1 Be 0.3333 0.6667 0.0000
Cu1 Cu 0.0092 0.5046 0.5000
Cu2 Cu 0.6667 0.3333 0.0000
```

The 10 most intense peaks (2θ from 10° to 80°), sorted by position:
d (Å), intensity
4.395, 15.0
2.909, 85.6
2.198, 71.5
2.124, 100.0
1.941, 31.7
1.912, 34.5
1.527, 19.9
1.455, 35.5
1.371, 22.8
1.269, 21.1


This entry pairs a crystal structure of Y2Be5Cu5 with its calculated powder diffraction line list. Radiation: a wavelength of 1.5418 Å. Structure: the GGA-PBE geometry in Alexandria.
Peak positions follow from Bragg's law for the DFT cell and can differ from measured ones.

Atomic structure:
```
data_Y2Be5Cu5
_cell_length_a 3.8622
_cell_length_b 4.7784
_cell_length_c 8.6653
_cell_angle_alpha 90.00
_cell_angle_beta 90.00
_cell_angle_gamma 90.00
_symmetry_space_group_name_H-M 'P m m m'
_symmetry_Int_Tables_number 47
_symmetry_space_group_name_Hall '-P 2 2'
loop_
_atom_site_label
_atom_site_type_symbol
_atom_site_fract_x
_atom_site_fract_y
_atom_site_fract_z
Y1 Y 0.0000 0.0000 0.0000
Y2 Y 0.0000 0.5000 0.5000
Be1 Be 0.5000 0.0000 0.5000
Be2 Be 0.5000 0.2482 0.2547
Cu1 Cu 0.0000 0.0000 0.3318
Cu2 Cu 0.0000 0.5000 0.1831
Cu3 Cu 0.5000 0.5000 0.0000
```

The 10 most intense peaks (2θ from 10° to 80°), sorted by position:
d (Å), intensity
3.862, 62.8
2.838, 15.6
2.472, 47.2
2.389, 35.6
2.082, 100.0
2.032, 27.6
1.931, 21.9
1.522, 17.8
1.502, 16.0
1.312, 20.3


This entry pairs a crystal structure of YBe2Cu3 with its calculated powder diffraction line list. Radiation: a wavelength of 1.5418 Å. Structure: the GGA-PBE geometry in Alexandria.
Peak positions follow from Bragg's law for the DFT cell and can differ from measured ones.

Atomic structure:
```
data_YBe2Cu3
_cell_length_a 9.1289
_cell_length_b 7.7053
_cell_length_c 4.6972
_cell_angle_alpha 90.00
_cell_angle_beta 90.00
_cell_angle_gamma 90.00
_symmetry_space_group_name_H-M 'C m c m'
_symmetry_Int_Tables_number 63
_symmetry_space_group_name_Hall '-C 2c 2'
loop_
_atom_site_label
_atom_site_type_symbol
_atom_site_fract_x
_atom_site_fract_y
_atom_site_fract_z
Y1 Y 0.0000 0.1750 0.2500
Be1 Be 0.2158 0.5000 0.0000
Cu1 Cu 0.0000 0.4467 0.7500
Cu2 Cu 0.1897 0.2248 0.7500
```

The 10 most intense peaks (2θ from 10° to 80°), sorted by position:
d (Å), intensity
3.853, 35.6
2.944, 19.0
2.495, 71.5
2.472, 37.2
2.424, 100.0
2.349, 56.4
2.282, 19.4
2.005, 17.1
1.811, 56.6
1.703, 21.4


This entry pairs a crystal structure of BeZnCu3 with its calculated powder diffraction line list. Radiation: a wavelength of 1.5418 Å. Structure: the GGA-PBE geometry in Alexandria.
Peak positions follow from Bragg's law for the DFT cell and can differ from measured ones.

Atomic structure:
```
data_BeZnCu3
_cell_length_a 5.7797
_cell_length_b 5.7797
_cell_length_c 4.2801
_cell_angle_alpha 90.00
_cell_angle_beta 90.00
_cell_angle_gamma 120.00
_symmetry_space_group_name_H-M 'P 63/m m c'
_symmetry_Int_Tables_number 194
_symmetry_space_group_name_Hall '-P 6c 2c'
loop_
_atom_site_label
_atom_site_type_symbol
_atom_site_fract_x
_atom_site_fract_y
_atom_site_fract_z
Be1 Be 0.0000 0.0000 0.0000
Zn1 Zn 0.3333 0.6667 0.2500
Cu1 Cu 0.1897 0.3794 0.7500
```

The 10 most intense peaks (2θ from 10° to 80°), sorted by position:
d (Å), intensity
5.005, 6.4
2.503, 24.3
2.160, 100.0
2.140, 23.6
1.892, 5.3
1.626, 14.5
1.555, 7.9
1.445, 13.8
1.239, 14.5
1.201, 9.4


This entry pairs a crystal structure of BeZn3Cu3 with its calculated powder diffraction line list. Radiation: a wavelength of 1.5418 Å. Structure: the GGA-PBE geometry in Alexandria.
Peak positions follow from Bragg's law for the DFT cell and can differ from measured ones.

Atomic structure:
```
data_BeZn3Cu3
_cell_length_a 7.4822
_cell_length_b 7.4822
_cell_length_c 3.7626
_cell_angle_alpha 90.00
_cell_angle_beta 90.00
_cell_angle_gamma 120.00
_symmetry_space_group_name_H-M 'P 63/m m c'
_symmetry_Int_Tables_number 194
_symmetry_space_group_name_Hall '-P 6c 2c'
loop_
_atom_site_label
_atom_site_type_symbol
_atom_site_fract_x
_atom_site_fract_y
_atom_site_fract_z
Be1 Be 0.3333 0.6667 0.2500
Zn1 Zn 0.1496 0.2991 0.2500
Cu1 Cu 0.1136 0.5568 0.7500
```

The 10 most intense peaks (2θ from 10° to 80°), sorted by position:
d (Å), intensity
3.741, 9.3
2.455, 85.1
2.160, 21.8
2.053, 100.0
1.881, 27.4
1.871, 22.6
1.797, 20.9
1.419, 10.3
1.300, 13.0
1.225, 17.4


This entry pairs a crystal structure of Zr2BeCu with its calculated powder diffraction line list. Radiation: a wavelength of 1.5418 Å. Structure: the GGA-PBE geometry in Alexandria.
Peak positions follow from Bragg's law for the DFT cell and can differ from measured ones.

Atomic structure:
```
data_Zr2BeCu
_cell_length_a 3.0111
_cell_length_b 3.0111
_cell_length_c 7.3472
_cell_angle_alpha 90.00
_cell_angle_beta 90.00
_cell_angle_gamma 90.00
_symmetry_space_group_name_H-M 'P 4 m m'
_symmetry_Int_Tables_number 99
_symmetry_space_group_name_Hall 'P 4 -2'
loop_
_atom_site_label
_atom_site_type_symbol
_atom_site_fract_x
_atom_site_fract_y
_atom_site_fract_z
Zr1 Zr 0.0000 0.0000 0.0000
Zr2 Zr 0.5000 0.5000 0.3203
Be1 Be 0.0000 0.0000 0.5899
Cu1 Cu 0.5000 0.5000 0.7220
```

The 10 most intense peaks (2θ from 10° to 80°), sorted by position:
d (Å), intensity
2.786, 65.1
2.449, 27.7
2.329, 100.0
2.129, 50.9
1.607, 29.1
1.506, 16.1
1.325, 12.2
1.321, 18.1
1.283, 13.2
1.264, 26.2


This entry pairs a crystal structure of ZrBe2Cu with its calculated powder diffraction line list. Radiation: a wavelength of 1.5418 Å. Structure: the GGA-PBE geometry in Alexandria.
Peak positions follow from Bragg's law for the DFT cell and can differ from measured ones.

Atomic structure:
```
data_ZrBe2Cu
_cell_length_a 2.6713
_cell_length_b 3.0896
_cell_length_c 6.1867
_cell_angle_alpha 90.00
_cell_angle_beta 90.00
_cell_angle_gamma 90.00
_symmetry_space_group_name_H-M 'P m m m'
_symmetry_Int_Tables_number 47
_symmetry_space_group_name_Hall '-P 2 2'
loop_
_atom_site_label
_atom_site_type_symbol
_atom_site_fract_x
_atom_site_fract_y
_atom_site_fract_z
Zr1 Zr 0.0000 0.0000 0.0000
Be1 Be 0.5000 0.5000 0.3082
Cu1 Cu 0.0000 0.0000 0.5000
```

The 10 most intense peaks (2θ from 10° to 80°), sorted by position:
d (Å), intensity
3.092, 100.0
2.671, 33.0
2.186, 47.6
2.021, 75.8
1.692, 33.5
1.546, 14.8
1.383, 17.2
1.338, 15.0
1.228, 25.8
1.226, 10.5


This entry pairs a crystal structure of Zr2Be16Cu with its calculated powder diffraction line list. Radiation: a wavelength of 1.5418 Å. Structure: the GGA-PBE geometry in Alexandria.
Peak positions follow from Bragg's law for the DFT cell and can differ from measured ones.

Atomic structure:
```
data_Zr2Be16Cu
_cell_length_a 7.5699
_cell_length_b 7.5699
_cell_length_c 11.0547
_cell_angle_alpha 90.00
_cell_angle_beta 90.00
_cell_angle_gamma 120.00
_symmetry_space_group_name_H-M 'R 3 m'
_symmetry_Int_Tables_number 160
_symmetry_space_group_name_Hall 'R 3 -2"'
loop_
_atom_site_label
_atom_site_type_symbol
_atom_site_fract_x
_atom_site_fract_y
_atom_site_fract_z
Zr1 Zr 0.0000 0.0000 0.0000
Zr2 Zr 0.0000 0.0000 0.3198
Be1 Be 0.0000 0.0000 0.5563
Be2 Be 0.0001 0.2873 0.6590
Be3 Be 0.0006 0.5003 0.8169
Be4 Be 0.0025 0.5013 0.1585
Be5 Be 0.1679 0.3358 0.8343
Cu1 Cu 0.0000 0.0000 0.7547
```

The 10 most intense peaks (2θ from 10° to 80°), sorted by position:
d (Å), intensity
4.226, 13.9
3.785, 100.0
3.685, 16.1
2.640, 50.0
2.547, 20.5
2.185, 32.4
2.113, 15.1
1.892, 25.2
1.880, 26.7
1.844, 20.9


This entry pairs a crystal structure of Zr6Be15Cu8 with its calculated powder diffraction line list. Radiation: a wavelength of 1.5418 Å. Structure: the GGA-PBE geometry in Alexandria.
Peak positions follow from Bragg's law for the DFT cell and can differ from measured ones.

Atomic structure:
```
data_Zr6Be15Cu8
_cell_length_a 11.1660
_cell_length_b 11.1660
_cell_length_c 11.1660
_cell_angle_alpha 90.00
_cell_angle_beta 90.00
_cell_angle_gamma 90.00
_symmetry_space_group_name_H-M 'F m -3 m'
_symmetry_Int_Tables_number 225
_symmetry_space_group_name_Hall '-F 4 2 3'
loop_
_atom_site_label
_atom_site_type_symbol
_atom_site_fract_x
_atom_site_fract_y
_atom_site_fract_z
Zr1 Zr 0.0000 0.0000 0.2032
Be1 Be 0.0000 0.0000 0.5000
Be2 Be 0.0000 0.2500 0.2500
Be3 Be 0.1766 0.1766 0.1766
Cu1 Cu 0.1234 0.1234 0.3766
```

The 10 most intense peaks (2θ from 10° to 80°), sorted by position:
d (Å), intensity
5.583, 31.1
3.367, 21.4
3.223, 59.8
2.562, 84.3
2.279, 22.6
2.149, 86.7
1.974, 100.0
1.364, 25.8
1.316, 15.3
1.289, 18.6


This entry pairs a crystal structure of ZrBe17Cu with its calculated powder diffraction line list. Radiation: a wavelength of 1.5418 Å. Structure: the GGA-PBE geometry in Alexandria.
Peak positions follow from Bragg's law for the DFT cell and can differ from measured ones.

Atomic structure:
```
data_ZrBe17Cu
_cell_length_a 7.4106
_cell_length_b 7.4106
_cell_length_c 10.8914
_cell_angle_alpha 90.00
_cell_angle_beta 90.00
_cell_angle_gamma 120.00
_symmetry_space_group_name_H-M 'R 3 m'
_symmetry_Int_Tables_number 160
_symmetry_space_group_name_Hall 'R 3 -2"'
loop_
_atom_site_label
_atom_site_type_symbol
_atom_site_fract_x
_atom_site_fract_y
_atom_site_fract_z
Zr1 Zr 0.0000 0.0000 0.0000
Be1 Be 0.0000 0.0000 0.2435
Be2 Be 0.0000 0.0000 0.4417
Be3 Be 0.0032 0.5016 0.1855
Be4 Be 0.0046 0.5023 0.4990
Be5 Be 0.0067 0.3003 0.3404
Be6 Be 0.0127 0.5064 0.8346
Cu1 Cu 0.0000 0.0000 0.7069
```

The 10 most intense peaks (2θ from 10° to 80°), sorted by position:
d (Å), intensity
5.529, 96.7
3.705, 100.0
3.078, 31.1
2.593, 91.4
2.507, 37.4
2.139, 40.7
2.076, 28.9
1.853, 33.0
1.843, 54.7
1.811, 31.0